1.
# Na5B9C
Theoretical powder X-ray diffraction pattern, Cu Kα X-rays. Input: a PBE-relaxed structure.
Neutral-atom scattering factors, no anomalous dispersion.

Structure:
abc: 2.9868 2.9868 43.0720
angles: 90.00 90.00 120.00
Space group P-3m1 (No. 164)
Unique sites:
1 Na 0.0000 0.0000 0.0000 (multiplicity 1)
2 Na 0.0000 0.0000 0.0976 (multiplicity 2)
3 Na 0.0000 0.0000 0.1980 (multiplicity 2)
4 Na 0.0000 0.0000 0.2988 (multiplicity 2)
5 Na 0.0000 0.0000 0.3994 (multiplicity 2)
6 Na 0.0000 0.0000 0.5000 (multiplicity 1)
7 B 0.3333 0.6667 0.0487 (multiplicity 2)
8 B 0.3333 0.6667 0.1479 (multiplicity 2)
9 B 0.3333 0.6667 0.2485 (multiplicity 2)
10 B 0.3333 0.6667 0.3490 (multiplicity 2)
11 B 0.3333 0.6667 0.4497 (multiplicity 2)
12 B 0.3333 0.6667 0.5503 (multiplicity 2)
13 B 0.3333 0.6667 0.6510 (multiplicity 2)
14 B 0.3333 0.6667 0.7515 (multiplicity 2)
15 B 0.3333 0.6667 0.8521 (multiplicity 2)
16 C 0.3333 0.6667 0.9514 (multiplicity 2)

Principal peaks in the range 2θ from 5° to 70°, in order of rising 2θ:
Position (°2θ)	Rel. int.	hkl
20.6	18	0 0 10
34.7	201	1 0 0
40.7	1000	1 0 10
41.9	231	0 0 20
55.5	103	0 1 20
62.2	182	1 1 0
66.2	19	1 1 10

2.
# Na5B8C2
Theoretical powder X-ray diffraction pattern, Cu Kα X-rays. Input: a PBE-relaxed structure.
Neutral-atom scattering factors, no anomalous dispersion.

Structure:
abc: 5.1352 7.7081 9.1387
angles: 75.90 73.75 70.88
Space group P1 (No. 1)
Unique sites:
1 Na 0.0000 0.0000 0.0000 (multiplicity 1)
2 Na 0.0013 0.4986 0.5006 (multiplicity 1)
3 Na 0.1994 0.0988 0.5008 (multiplicity 1)
4 Na 0.2010 0.5993 0.0002 (multiplicity 1)
5 Na 0.3971 0.6982 0.5061 (multiplicity 1)
6 Na 0.3981 0.1990 0.0035 (multiplicity 1)
7 Na 0.5994 0.3005 0.4992 (multiplicity 1)
8 Na 0.6017 0.7998 0.9964 (multiplicity 1)
9 Na 0.7985 0.3989 0.0033 (multiplicity 1)
10 Na 0.8003 0.8991 0.5033 (multiplicity 1)
11 B 0.0263 0.8532 0.7507 (multiplicity 1)
12 B 0.0381 0.3538 0.2512 (multiplicity 1)
13 B 0.1772 0.7495 0.2514 (multiplicity 1)
14 B 0.2472 0.4375 0.7513 (multiplicity 1)
15 B 0.3678 0.3600 0.2515 (multiplicity 1)
16 B 0.3743 0.8463 0.7520 (multiplicity 1)
17 B 0.4066 0.0678 0.7516 (multiplicity 1)
18 B 0.5396 0.9413 0.2511 (multiplicity 1)
19 B 0.6295 0.6334 0.7519 (multiplicity 1)
20 B 0.6435 0.1449 0.2510 (multiplicity 1)
21 B 0.7316 0.5570 0.2521 (multiplicity 1)
22 B 0.7605 0.0512 0.7508 (multiplicity 1)
23 B 0.8324 0.2617 0.7512 (multiplicity 1)
24 B 0.8447 0.7502 0.2520 (multiplicity 1)
25 B 0.9714 0.6447 0.7510 (multiplicity 1)
26 B 0.9794 0.1384 0.2507 (multiplicity 1)
27 C 0.1561 0.2535 0.7513 (multiplicity 1)
28 C 0.2364 0.9444 0.2506 (multiplicity 1)
29 C 0.4301 0.5550 0.2520 (multiplicity 1)
30 C 0.5634 0.4444 0.7515 (multiplicity 1)

Principal peaks in the range 2θ from 5° to 70°, in order of rising 2θ:
Position (°2θ)	Rel. int.	hkl
34.9	209	2 1 1
35.3	189	1 -2 0
35.5	181	1 3 1
40.9	984	2 1 3
41.2	992	1 -2 2
41.4	1000	1 3 3
41.8	736	0 0 4
62.8	176	3 -1 1

3.
# Na10B17C3
Theoretical powder X-ray diffraction pattern, Cu Kα X-rays. Input: a PBE-relaxed structure.
Neutral-atom scattering factors, no anomalous dispersion.

Structure:
abc: 8.6877 2.8206 26.7381
angles: 90.00 90.00 90.00
Space group Amm2 (No. 38)
Unique sites:
1 Na 0.2472 0.0000 0.0000 (multiplicity 4)
2 Na 0.2495 0.0000 0.3984 (multiplicity 4)
3 Na 0.2498 0.0000 0.7976 (multiplicity 4)
4 Na 0.2523 0.0000 0.1979 (multiplicity 4)
5 Na 0.2517 0.0000 0.5990 (multiplicity 4)
6 B 0.0000 0.0000 0.0711 (multiplicity 2)
7 B 0.0000 0.0000 0.1364 (multiplicity 2)
8 B 0.0000 0.0000 0.2636 (multiplicity 2)
9 B 0.0000 0.0000 0.3260 (multiplicity 2)
10 B 0.0000 0.0000 0.4694 (multiplicity 2)
11 B 0.0000 0.0000 0.5330 (multiplicity 2)
12 B 0.0000 0.0000 0.7241 (multiplicity 2)
13 B 0.0000 0.0000 0.8669 (multiplicity 2)
14 B 0.0000 0.0000 0.9294 (multiplicity 2)
15 B 0.5000 0.0000 0.0636 (multiplicity 2)
16 B 0.5000 0.0000 0.1296 (multiplicity 2)
17 B 0.5000 0.0000 0.2601 (multiplicity 2)
18 B 0.5000 0.0000 0.3262 (multiplicity 2)
19 B 0.5000 0.0000 0.4743 (multiplicity 2)
20 B 0.5000 0.0000 0.6695 (multiplicity 2)
21 B 0.5000 0.0000 0.8685 (multiplicity 2)
22 B 0.5000 0.0000 0.9313 (multiplicity 2)
23 C 0.0000 0.0000 0.6657 (multiplicity 2)
24 C 0.5000 0.0000 0.5323 (multiplicity 2)
25 C 0.5000 0.0000 0.7294 (multiplicity 2)

Principal peaks in the range 2θ from 5° to 70°, in order of rising 2θ:
Position (°2θ)	Rel. int.	hkl
33.5	140	0 0 10
36.0	166	0 1 5
39.6	497	2 0 10
41.6	373	4 0 0
41.8	1000	2 1 5
56.1	95	4 1 5
61.5	182	0 1 15
66.3	75	0 2 0

4.
# Na10B17C3
Theoretical powder X-ray diffraction pattern, Cu Kα X-rays. Input: a PBE-relaxed structure.
Neutral-atom scattering factors, no anomalous dispersion.

Structure:
abc: 14.9032 5.0731 9.1695
angles: 90.00 108.96 90.00
Space group C2 (No. 5)
Unique sites:
1 Na 0.0496 0.0000 0.2490 (multiplicity 4)
2 Na 0.0500 0.4987 0.7512 (multiplicity 4)
3 Na 0.1501 0.4950 0.2501 (multiplicity 4)
4 Na 0.1499 0.9974 0.7496 (multiplicity 4)
5 Na 0.2501 0.4945 0.7486 (multiplicity 4)
6 B 0.0000 0.1610 0.5000 (multiplicity 2)
7 B 0.0000 0.3242 0.0000 (multiplicity 2)
8 B 0.0000 0.6765 0.0000 (multiplicity 2)
9 B 0.0911 0.6790 0.5005 (multiplicity 4)
10 B 0.1012 0.1668 0.9995 (multiplicity 4)
11 B 0.1019 0.3355 0.5015 (multiplicity 4)
12 B 0.1085 0.8164 0.9996 (multiplicity 4)
13 B 0.1969 0.1600 0.5010 (multiplicity 4)
14 B 0.2009 0.8146 0.5002 (multiplicity 4)
15 B 0.2062 0.3379 0.9999 (multiplicity 4)
16 C 0.0000 0.8405 0.5000 (multiplicity 2)
17 C 0.2018 0.6599 0.9993 (multiplicity 4)

Principal peaks in the range 2θ from 5° to 70°, in order of rising 2θ:
Position (°2θ)	Rel. int.	hkl
34.9	206	5 1 -1
35.4	91	0 2 0
40.8	1000	5 1 1
41.2	506	0 2 2
41.7	369	0 0 4
55.4	112	5 1 3
62.3	90	10 0 -2
63.2	172	5 3 -1

5.
# Na5B8C2
Theoretical powder X-ray diffraction pattern, Cu Kα X-rays. Input: a PBE-relaxed structure.
Neutral-atom scattering factors, no anomalous dispersion.

Structure:
abc: 18.0688 2.8222 13.6759
angles: 90.00 112.42 90.00
Space group C2/m (No. 12)
Unique sites:
1 Na 0.0000 0.0000 0.0000 (multiplicity 2)
2 Na 0.0000 0.0000 0.5000 (multiplicity 2)
3 Na 0.1000 0.5000 0.2038 (multiplicity 4)
4 Na 0.1007 0.5000 0.6980 (multiplicity 4)
5 Na 0.1989 0.0000 0.8979 (multiplicity 4)
6 Na 0.2010 0.0000 0.4011 (multiplicity 4)
7 B 0.0283 0.0000 0.8046 (multiplicity 4)
8 B 0.0378 0.0000 0.3269 (multiplicity 4)
9 B 0.0702 0.5000 0.8891 (multiplicity 4)
10 B 0.1290 0.5000 0.5080 (multiplicity 4)
11 B 0.1329 0.5000 0.0152 (multiplicity 4)
12 B 0.1692 0.0000 0.5882 (multiplicity 4)
13 B 0.1749 0.0000 0.1012 (multiplicity 4)
14 B 0.2354 0.0000 0.7190 (multiplicity 4)
15 C 0.0691 0.5000 0.3885 (multiplicity 4)
16 C 0.2326 0.0000 0.2180 (multiplicity 4)

Principal peaks in the range 2θ from 5° to 70°, in order of rising 2θ:
Position (°2θ)	Rel. int.	hkl
33.9	154	2 0 4
36.1	186	1 1 2
39.9	279	2 0 -6
40.1	277	6 0 2
41.8	1000	8 0 -4
41.9	573	5 1 0
62.1	204	3 1 6
66.2	100	0 2 0

6.
# Na5B8C2
Theoretical powder X-ray diffraction pattern, Cu Kα X-rays. Input: a PBE-relaxed structure.
Neutral-atom scattering factors, no anomalous dispersion.

Structure:
abc: 5.0323 7.8251 9.1350
angles: 93.84 105.97 108.71
Space group P1 (No. 1)
Unique sites:
1 Na 0.0000 0.0000 0.0000 (multiplicity 1)
2 Na 0.0955 0.6991 0.5024 (multiplicity 1)
3 Na 0.1963 0.3996 0.0016 (multiplicity 1)
4 Na 0.2997 0.0993 0.5001 (multiplicity 1)
5 Na 0.3953 0.7979 0.0006 (multiplicity 1)
6 Na 0.4972 0.4993 0.5037 (multiplicity 1)
7 Na 0.6002 0.1981 0.0020 (multiplicity 1)
8 Na 0.6967 0.8990 0.5026 (multiplicity 1)
9 Na 0.7938 0.5979 0.9994 (multiplicity 1)
10 Na 0.8991 0.2976 0.5008 (multiplicity 1)
11 B 0.0064 0.4448 0.2525 (multiplicity 1)
12 B 0.0918 0.2565 0.2516 (multiplicity 1)
13 B 0.1360 0.1333 0.7511 (multiplicity 1)
14 B 0.2090 0.8529 0.2501 (multiplicity 1)
15 B 0.2787 0.6490 0.2519 (multiplicity 1)
16 B 0.3171 0.5600 0.7519 (multiplicity 1)
17 B 0.3654 0.3459 0.7522 (multiplicity 1)
18 B 0.4308 0.2459 0.2511 (multiplicity 1)
19 B 0.4831 0.0411 0.2498 (multiplicity 1)
20 B 0.5053 0.9372 0.7510 (multiplicity 1)
21 B 0.6733 0.4674 0.2524 (multiplicity 1)
22 B 0.7509 0.3637 0.7512 (multiplicity 1)
23 B 0.7668 0.1513 0.7510 (multiplicity 1)
24 B 0.8332 0.0515 0.2505 (multiplicity 1)
25 B 0.8541 0.8306 0.2512 (multiplicity 1)
26 B 0.9097 0.7486 0.7511 (multiplicity 1)
27 C 0.1684 0.9385 0.7505 (multiplicity 1)
28 C 0.5734 0.7486 0.7515 (multiplicity 1)
29 C 0.6026 0.6491 0.2525 (multiplicity 1)
30 C 0.9791 0.5586 0.7512 (multiplicity 1)

Principal peaks in the range 2θ from 5° to 70°, in order of rising 2θ:
Position (°2θ)	Rel. int.	hkl
35.1	216	1 2 -1
35.7	83	-2 1 1
41.0	1000	1 2 1
41.5	532	2 -1 1
41.8	382	0 0 4
55.7	88	1 2 3
62.7	91	0 5 -1
63.7	172	3 1 -2